Structure and calculated PXRD pattern of SmEr5Th2 (a DFT-relaxed cell (PBE, Alexandria); Cu Kα).

Atomic structure:
Cell lengths 9.8858, 14.2545, 3.5709 Å; angles 90.00, 90.00, 90.00 degrees
Positions (direct):
Sm: 0.0000 0.0000 0.0000
Sm: 0.5000 0.5000 0.0000
Er: 0.0000 0.5000 0.0000
Er: 0.2485 0.3729 0.5000
Er: 0.2485 0.6271 0.5000
Er: 0.2515 0.1271 0.5000
Er: 0.2515 0.8729 0.5000
Er: 0.5000 0.0000 0.0000
Er: 0.7485 0.1271 0.5000
Er: 0.7485 0.8729 0.5000
Er: 0.7515 0.3729 0.5000
Er: 0.7515 0.6271 0.5000
Th: 0.0000 0.2505 0.0000
Th: 0.0000 0.7495 0.0000
Th: 0.5000 0.2495 0.0000
Th: 0.5000 0.7505 0.0000

Largest 10 diffraction maxima, sorted by position, 5° ≤ 2θ ≤ 70°:
- hkl 0 2 0, 12.42°, I = 2
- hkl 2 4 0, 30.91°, I = 100
- hkl 0 4 1, 35.59°, I = 34
- hkl 4 0 0, 36.35°, I = 16
- hkl 0 0 2, 51.16°, I = 6
- hkl 0 8 0, 51.27°, I = 6
- hkl 4 4 1, 51.79°, I = 24
- hkl 2 4 2, 61.03°, I = 29
- hkl 6 4 0, 62.05°, I = 14
- hkl 4 0 2, 64.42°, I = 12